Starting from a DFT-relaxed cell (GGA-PBE, the Materials Project), the X-ray powder pattern of SnPbS2 was calculated for a wavelength of 1.5418 Å.
Neutral-atom scattering factors, no anomalous dispersion.

Structural model:
a = 4.1929 Å, b = 4.1929 Å, c = 20.5600 Å
α = 90.00°, β = 90.00°, γ = 120.00°
Space group R-3m (No. 166, hexagonal axes)
Inequivalent atoms, fractional coordinates:
Sn1 0.0000 0.0000 0.0000 x3
Pb1 0.0000 0.0000 0.5000 x3
S1 0.0000 0.0000 0.2528 x6

The 8 most intense peaks (10 to 90 degrees two-theta), in order of rising 2θ:
hkl  d/Å  I (rel.)
0 0 6  3.425  81.1
1 0 4  2.966  100.0
1 1 0  2.097  74.9
1 0 10  1.788  43.3
0 2 4  1.712  26.5
0 1 14  1.361  18.4
2 1 4  1.326  34.8
3 0 0  1.211  26.5